[1]
Diffraction record for HoHg2I6. The X-ray powder pattern is simulated, not measured: it uses a cell relaxed with PBE and λ = 1.5418 Å (Cu Kα).
Peak positions follow from Bragg's law for the DFT cell and can differ from measured ones.

a = 15.9882 Å, b = 14.9788 Å, c = 8.2659 Å
α = 90.00°, β = 108.16°, γ = 90.00°
Space group C2/c (No. 15)
Symmetry-distinct sites (fractional):
Ho  0.0000  0.0683  0.2500 [4 per cell]
Hg  0.0904  0.3892  0.1522 [8 per cell]
I  0.1094  0.0695  0.6293 [8 per cell]
I  0.1227  0.4442  0.5121 [8 per cell]
I  0.1266  0.1994  0.1720 [8 per cell]

Peak list (10 most intense, 2θ = 10–80°, in order of rising 2θ)
hkl	two_theta	I_rel
2 0 0	11.65	92.9
0 2 0	11.82	68.3
1 1 -1	12.45	84.1
1 1 1	15.40	100.0
2 0 -2	22.01	66.5
4 0 0	23.42	92.4
3 3 -1	25.12	60.2
4 2 -1	25.58	66.4
2 0 2	28.66	97.0
2 4 -3	40.67	61.8

[2]
Diffraction record for Tb3Tm5Tl. The X-ray powder pattern is simulated, not measured: it uses a cell relaxed with PBE and λ = 1.5418 Å (Cu Kα).
Peak positions follow from Bragg's law for the DFT cell and can differ from measured ones.

a = 11.9409 Å, b = 11.1845 Å, c = 10.1457 Å
α = 90.00°, β = 109.06°, γ = 90.00°
Space group C2/m (No. 12)
Symmetry-distinct sites (fractional):
Tb  0.0000  0.0000  0.0000 [2 per cell]
Tb  0.0003  0.0000  0.3098 [4 per cell]
Tb  0.0000  0.5000  0.5000 [2 per cell]
Tb  0.0032  0.5000  0.1727 [4 per cell]
Tm  0.0000  0.2286  0.5000 [4 per cell]
Tm  0.1886  0.2408  0.2996 [8 per cell]
Tm  0.2342  0.0000  0.5565 [4 per cell]
Tm  0.2482  0.5000  0.0935 [4 per cell]
Tl  0.2342  0.5000  0.7729 [4 per cell]

Peak list (10 most intense, 2θ = 10–80°, in order of rising 2θ)
hkl	two_theta	I_rel
0 2 0	15.85	61.5
3 1 -3	31.27	74.3
4 0 0	31.68	100.0
0 4 0	32.01	94.1
1 1 3	32.51	73.3
4 2 -1	34.06	28.6
4 2 0	35.63	47.5
3 3 -3	38.86	54.0
1 3 3	39.89	44.2
4 4 0	45.68	42.3

[3]
Diffraction record for Ba2ErCu3O7. The X-ray powder pattern is simulated, not measured: it uses a cell relaxed with PBE and λ = 1.5418 Å (Cu Kα).
Peak positions follow from Bragg's law for the DFT cell and can differ from measured ones.

a = 3.8275 Å, b = 3.9103 Å, c = 11.8230 Å
α = 90.00°, β = 90.00°, γ = 90.00°
Space group Pmmm (No. 47)
Symmetry-distinct sites (fractional):
Ba  0.0000  0.0000  0.1812 [2 per cell]
Er  0.0000  0.0000  0.5000 [1 per cell]
Cu  0.5000  0.5000  0.0000 [1 per cell]
Cu  0.5000  0.5000  0.3547 [2 per cell]
O  0.0000  0.5000  0.3822 [2 per cell]
O  0.5000  0.0000  0.0000 [1 per cell]
O  0.5000  0.0000  0.3807 [2 per cell]
O  0.5000  0.5000  0.1590 [2 per cell]

Peak list (10 most intense, 2θ = 10–80°, in order of rising 2θ)
hkl	two_theta	I_rel
0 1 3	32.25	91.1
1 0 3	32.61	100.0
1 1 0	32.74	94.3
1 1 3	40.13	29.9
0 0 6	46.06	17.9
0 2 0	46.45	28.1
2 0 0	47.51	26.2
1 1 6	57.66	35.8
1 2 3	57.90	37.9
2 1 3	58.59	33.2